(1)
Starting from a crystal structure in OQMD, relaxed with PBE, the X-ray powder pattern of NdAlCu2Ni2 was simulated for Cu Kα (weighted mean of Kα1 and Kα2).
Kinematic intensities with the Lorentz-polarization factor, no thermal factor.

Cell and atoms:
```
data_NdAlCu2Ni2
_cell_length_a 5.1832
_cell_length_b 8.6619
_cell_length_c 4.0726
_cell_angle_alpha 90.00
_cell_angle_beta 90.00
_cell_angle_gamma 90.00
_symmetry_space_group_name_H-M 'C m m m'
_symmetry_Int_Tables_number 65
_symmetry_space_group_name_Hall '-C 2 2'
loop_
_atom_site_label
_atom_site_fract_x
_atom_site_fract_y
_atom_site_fract_z
_atom_site_occupancy
Nd1 0.0000 0.0000 0.0000 1
Al1 0.0000 0.5000 0.5000 1
Cu1 0.0000 0.3313 0.0000 1
Ni1 0.2500 0.2500 0.5000 1
```

Peak list (10 most intense, 10° ≤ 2θ ≤ 80°, sorted by position)
hkl 0 0 1, d 4.073, 2θ = 21.8°, I = 222; hkl 1 1 1, d 3.004, 2θ = 29.7°, I = 290; hkl 0 2 1, d 2.967, 2θ = 30.1°, I = 404; hkl 1 3 0, d 2.522, 2θ = 35.6°, I = 551; hkl 2 2 0, d 2.224, 2θ = 40.6°, I = 306; hkl 2 0 1, d 2.186, 2θ = 41.3°, I = 825; hkl 1 3 1, d 2.144, 2θ = 42.1°, I = 1000; hkl 0 0 2, d 2.036, 2θ = 44.5°, I = 429; hkl 1 3 2, d 1.584, 2θ = 58.2°, I = 254; hkl 3 3 1, d 1.393, 2θ = 67.2°, I = 238

(2)
Starting from a crystal structure in OQMD, relaxed with PBE, the X-ray powder pattern of Nd2ScAl3Cu2Ni was simulated for Cu Kα (weighted mean of Kα1 and Kα2).
Kinematic intensities with the Lorentz-polarization factor, no thermal factor.

Cell and atoms:
```
data_Nd2ScAl3Cu2Ni
_cell_length_a 4.0375
_cell_length_b 12.2970
_cell_length_c 6.9218
_cell_angle_alpha 90.00
_cell_angle_beta 90.00
_cell_angle_gamma 90.00
_symmetry_space_group_name_H-M 'A m m 2'
_symmetry_Int_Tables_number 38
loop_
_symmetry_equiv_pos_as_xyz
'x,y,z'
'-x,-y,z'
'-x,y,z'
'x,-y,z'
'x,y+1/2,z+1/2'
'-x,-y+1/2,z+1/2'
'-x,y+1/2,z+1/2'
'x,-y+1/2,z+1/2'
loop_
_atom_site_label
_atom_site_fract_x
_atom_site_fract_y
_atom_site_fract_z
_atom_site_occupancy
Nd1 0.0000 0.2058 0.0000 1
Sc1 0.0000 0.0000 0.6123 1
Al1 0.5000 0.0000 0.9749 1
Al2 0.5000 0.1105 0.3299 1
Cu1 0.5000 0.1526 0.7007 1
Ni1 0.0000 0.0000 0.2230 1
```

Peak list (10 most intense, 10° ≤ 2θ ≤ 80°, sorted by position)
hkl 0 2 0, d 6.148, 2θ = 14.4°, I = 346; hkl 0 3 1, d 3.527, 2θ = 25.3°, I = 418; hkl 0 2 2, d 3.016, 2θ = 29.6°, I = 382; hkl 1 3 1, d 2.656, 2θ = 33.7°, I = 974; hkl 1 0 2, d 2.628, 2θ = 34.1°, I = 561; hkl 1 4 0, d 2.446, 2θ = 36.7°, I = 499; hkl 1 2 2, d 2.416, 2θ = 37.2°, I = 1000; hkl 0 5 1, d 2.317, 2θ = 38.9°, I = 303; hkl 2 0 0, d 2.019, 2θ = 44.9°, I = 394; hkl 0 3 3, d 2.010, 2θ = 45.1°, I = 523

(3)
Starting from a crystal structure in OQMD, relaxed with PBE, the X-ray powder pattern of Pr2NdAl7Cu2 was simulated for Cu Kα (weighted mean of Kα1 and Kα2).
Kinematic intensities with the Lorentz-polarization factor, no thermal factor.

Cell and atoms:
```
data_Pr2NdAl7Cu2
_cell_length_a 5.5993
_cell_length_b 5.5993
_cell_length_c 25.9236
_cell_angle_alpha 90.00
_cell_angle_beta 90.00
_cell_angle_gamma 120.00
_symmetry_space_group_name_H-M 'R -3 m'
_symmetry_Int_Tables_number 166
_symmetry_space_group_name_Hall '-R 3 2"'
loop_
_atom_site_label
_atom_site_fract_x
_atom_site_fract_y
_atom_site_fract_z
_atom_site_occupancy
Pr1 0.0000 0.0000 0.1416 1
Nd1 0.0000 0.0000 0.0000 1
Al1 0.0000 0.0000 0.5000 1
Al2 0.0058 0.5029 0.9226 1
Cu1 0.0000 0.0000 0.3354 1
```

Peak list (10 most intense, 10° ≤ 2θ ≤ 80°, sorted by position)
hkl 1 0 1, d 4.766, 2θ = 18.6°, I = 338; hkl 0 0 6, d 4.321, 2θ = 20.6°, I = 287; hkl 1 0 7, d 2.943, 2θ = 30.4°, I = 462; hkl 1 1 0, d 2.800, 2θ = 32.0°, I = 855; hkl 0 1 8, d 2.694, 2θ = 33.3°, I = 319; hkl 0 2 1, d 2.414, 2θ = 37.2°, I = 262; hkl 1 1 6, d 2.350, 2θ = 38.3°, I = 1000; hkl 3 0 6, d 1.514, 2θ = 61.2°, I = 246; hkl 2 0 14, d 1.471, 2θ = 63.2°, I = 268; hkl 2 2 0, d 1.400, 2θ = 66.8°, I = 192

(4)
Starting from a crystal structure in OQMD, relaxed with PBE, the X-ray powder pattern of NdAl5CuPt was simulated for Cu Kα (weighted mean of Kα1 and Kα2).
Kinematic intensities with the Lorentz-polarization factor, no thermal factor.

Cell and atoms:
```
data_NdAl5CuPt
_cell_length_a 4.0796
_cell_length_b 7.2416
_cell_length_c 9.8249
_cell_angle_alpha 90.00
_cell_angle_beta 90.00
_cell_angle_gamma 90.00
_symmetry_space_group_name_H-M 'I m m 2'
_symmetry_Int_Tables_number 44
loop_
_symmetry_equiv_pos_as_xyz
'x,y,z'
'-x,-y,z'
'-x,y,z'
'x,-y,z'
'x+1/2,y+1/2,z+1/2'
'-x+1/2,-y+1/2,z+1/2'
'-x+1/2,y+1/2,z+1/2'
'x+1/2,-y+1/2,z+1/2'
loop_
_atom_site_label
_atom_site_fract_x
_atom_site_fract_y
_atom_site_fract_z
_atom_site_occupancy
Nd1 0.0000 0.0000 0.0000 1
Al1 0.0000 0.1885 0.3452 1
Al2 0.0000 0.1898 0.6466 1
Al3 0.0000 0.5000 0.9876 1
Cu1 0.0000 0.5000 0.7468 1
Pt1 0.0000 0.5000 0.2351 1
```

Peak list (10 most intense, 10° ≤ 2θ ≤ 80°, sorted by position)
hkl 0 1 1, d 5.829, 2θ = 15.2°, I = 393; hkl 1 0 1, d 3.768, 2θ = 23.6°, I = 222; hkl 0 2 0, d 3.621, 2θ = 24.6°, I = 425; hkl 0 1 3, d 2.984, 2θ = 29.9°, I = 233; hkl 1 1 2, d 2.880, 2θ = 31.1°, I = 1000; hkl 1 2 1, d 2.611, 2θ = 34.4°, I = 397; hkl 2 0 0, d 2.040, 2θ = 44.4°, I = 206; hkl 0 2 4, d 2.033, 2θ = 44.6°, I = 332; hkl 1 3 2, d 1.913, 2θ = 47.5°, I = 388; hkl 2 2 4, d 1.440, 2θ = 64.7°, I = 216

(5)
Starting from a crystal structure in OQMD, relaxed with PBE, the X-ray powder pattern of NdAl2Cu2Pt was simulated for Cu Kα (weighted mean of Kα1 and Kα2).
Kinematic intensities with the Lorentz-polarization factor, no thermal factor.

Cell and atoms:
```
data_NdAl2Cu2Pt
_cell_length_a 5.3022
_cell_length_b 9.2139
_cell_length_c 4.2102
_cell_angle_alpha 90.00
_cell_angle_beta 90.00
_cell_angle_gamma 90.00
_symmetry_space_group_name_H-M 'C m m m'
_symmetry_Int_Tables_number 65
_symmetry_space_group_name_Hall '-C 2 2'
loop_
_atom_site_label
_atom_site_fract_x
_atom_site_fract_y
_atom_site_fract_z
_atom_site_occupancy
Nd1 0.0000 0.0000 0.0000 1
Al1 0.2500 0.2500 0.5000 1
Cu1 0.0000 0.3238 0.0000 1
Pt1 0.0000 0.5000 0.5000 1
```

Peak list (10 most intense, 10° ≤ 2θ ≤ 80°, sorted by position)
hkl 0 2 0, d 4.603, 2θ = 19.3°, I = 419; hkl 1 1 1, d 3.104, 2θ = 28.8°, I = 808; hkl 2 0 0, d 2.652, 2θ = 33.8°, I = 331; hkl 2 2 0, d 2.298, 2θ = 39.2°, I = 215; hkl 1 3 1, d 2.247, 2θ = 40.1°, I = 1000; hkl 0 0 2, d 2.105, 2θ = 43.0°, I = 246; hkl 2 0 2, d 1.649, 2θ = 55.8°, I = 155; hkl 0 4 2, d 1.553, 2θ = 59.5°, I = 215; hkl 3 3 1, d 1.440, 2θ = 64.8°, I = 228; hkl 1 3 3, d 1.241, 2θ = 76.8°, I = 196

(6)
Starting from a crystal structure in OQMD, relaxed with PBE, the X-ray powder pattern of NdAlCuPt3 was simulated for Cu Kα (weighted mean of Kα1 and Kα2).
Kinematic intensities with the Lorentz-polarization factor, no thermal factor.

Cell and atoms:
```
data_NdAlCuPt3
_cell_length_a 5.5533
_cell_length_b 5.5533
_cell_length_c 3.9934
_cell_angle_alpha 90.00
_cell_angle_beta 90.00
_cell_angle_gamma 120.00
_symmetry_space_group_name_H-M 'P -6 m 2'
_symmetry_Int_Tables_number 187
_symmetry_space_group_name_Hall 'P -6 2'
loop_
_atom_site_label
_atom_site_fract_x
_atom_site_fract_y
_atom_site_fract_z
_atom_site_occupancy
Nd1 0.0000 0.0000 0.0000 1
Al1 0.3333 0.6667 0.0000 1
Cu1 0.6667 0.3333 0.0000 1
Pt1 0.5007 0.0015 0.5000 1
```

Peak list (10 most intense, 10° ≤ 2θ ≤ 80°, sorted by position)
hkl 0 0 1, d 3.993, 2θ = 22.3°, I = 300; hkl 1 0 1, d 3.072, 2θ = 29.1°, I = 720; hkl 2 0 0, d 2.405, 2θ = 37.4°, I = 1000; hkl 1 1 1, d 2.280, 2θ = 39.5°, I = 710; hkl 2 0 1, d 2.060, 2θ = 44.0°, I = 653; hkl 0 0 2, d 1.997, 2θ = 45.4°, I = 285; hkl 2 1 1, d 1.654, 2θ = 55.5°, I = 244; hkl 2 0 2, d 1.536, 2θ = 60.2°, I = 510; hkl 3 0 1, d 1.488, 2θ = 62.4°, I = 184; hkl 2 2 0, d 1.388, 2θ = 67.5°, I = 263

What is the formula in the fourth record? NdAl5CuPt